# 1
Diffraction record for Ho2U3Se8. The powder diffractogram is simulated, not measured: it uses a crystal structure in Alexandria, relaxed with GGA-PBE and CuKα.
Neutral-atom scattering factors, no anomalous dispersion.

```
data_Ho2U3Se8
_chemical_formula_sum 'Ho2 U3 Se8'
_cell_length_a 8.3555
_cell_length_b 8.3555
_cell_length_c 6.8574
_cell_angle_alpha 105.96
_cell_angle_beta 105.96
_cell_angle_gamma 57.94
_symmetry_space_group_name_H-M 'P 1'
_symmetry_Int_Tables_number 1
_symmetry_space_group_name_Hall 'P 1'
loop_
_atom_site_label
_atom_site_fract_x
_atom_site_fract_y
_atom_site_fract_z
Ho1 0.2449 0.2449 0.1660
Ho2 0.7551 0.7551 0.8340
U1 0.2424 0.7576 0.5000
U2 0.5000 0.5000 0.0000
U3 0.7576 0.2424 0.5000
Se1 0.1159 0.1159 0.3995
Se2 0.1319 0.6163 0.0843
Se3 0.3788 0.3788 0.5789
Se4 0.3837 0.8681 0.9157
Se5 0.6163 0.1319 0.0843
Se6 0.6212 0.6212 0.4211
Se7 0.8681 0.3837 0.9157
Se8 0.8841 0.8841 0.6005
```

Top 12 peaks for 2θ = 5–70°, in order of rising 2θ:
2θ/deg	I/Imax
12.72	57
20.05	56
22.62	39
25.48	29
26.97	66
27.40	29
33.52	100
33.90	53
39.86	64
40.10	34
44.79	39
45.58	65

# 2
Diffraction record for HoUSe. The powder diffractogram is simulated, not measured: it uses a crystal structure in Alexandria, relaxed with GGA-PBE and CuKα.
Neutral-atom scattering factors, no anomalous dispersion.

```
data_HoUSe
_chemical_formula_sum 'Ho2 U2 Se2'
_cell_length_a 12.2683
_cell_length_b 12.2683
_cell_length_c 12.2683
_cell_angle_alpha 17.33
_cell_angle_beta 17.33
_cell_angle_gamma 17.33
_symmetry_space_group_name_H-M 'P 1'
_symmetry_Int_Tables_number 1
_symmetry_space_group_name_Hall 'P 1'
loop_
_atom_site_label
_atom_site_fract_x
_atom_site_fract_y
_atom_site_fract_z
Ho1 0.2060 0.2060 0.2060
Ho2 0.7940 0.7940 0.7940
U1 0.3527 0.3527 0.3527
U2 0.6473 0.6473 0.6473
Se1 0.0735 0.0735 0.0735
Se2 0.9265 0.9265 0.9265
```

Top 12 peaks for 2θ = 5–70°, in order of rising 2θ:
2θ/deg	I/Imax
7.32	53
14.66	12
22.07	11
28.31	17
29.60	14
32.90	100
39.24	9
45.04	37
49.31	38
58.54	9
60.55	18
68.98	15

# 3
Diffraction record for Y3Ho5Se8. The powder diffractogram is simulated, not measured: it uses a crystal structure in Alexandria, relaxed with GGA-PBE and CuKα.
Neutral-atom scattering factors, no anomalous dispersion.

```
data_Y3Ho5Se8
_chemical_formula_sum 'Y3 Ho5 Se8'
_cell_length_a 8.1422
_cell_length_b 8.1422
_cell_length_c 8.1422
_cell_angle_alpha 59.91
_cell_angle_beta 59.91
_cell_angle_gamma 59.91
_symmetry_space_group_name_H-M 'P 1'
_symmetry_Int_Tables_number 1
_symmetry_space_group_name_Hall 'P 1'
loop_
_atom_site_label
_atom_site_fract_x
_atom_site_fract_y
_atom_site_fract_z
Y1 0.0000 0.5000 0.5000
Y2 0.5000 0.0000 0.5000
Y3 0.5000 0.5000 0.0000
Ho1 0.0000 0.0000 0.0000
Ho2 0.0000 0.0000 0.5000
Ho3 0.0000 0.5000 0.0000
Ho4 0.5000 0.0000 0.0000
Ho5 0.5000 0.5000 0.5000
Se1 0.2478 0.7500 0.7500
Se2 0.2489 0.2489 0.2489
Se3 0.2500 0.2500 0.7522
Se4 0.2500 0.7522 0.2500
Se5 0.7500 0.2478 0.7500
Se6 0.7500 0.7500 0.2478
Se7 0.7511 0.7511 0.7511
Se8 0.7522 0.2500 0.2500
```

Top 12 peaks for 2θ = 5–70°, in order of rising 2θ:
2θ/deg	I/Imax
13.32	5
25.69	3
26.84	13
31.09	100
33.95	1
40.73	2
44.54	74
46.72	2
52.77	6
55.23	6
55.34	19
64.82	12

# 4
Diffraction record for YHoSe2. The powder diffractogram is simulated, not measured: it uses a crystal structure in Alexandria, relaxed with GGA-PBE and CuKα.
Neutral-atom scattering factors, no anomalous dispersion.

```
data_YHoSe2
_chemical_formula_sum 'Y2 Ho2 Se4'
_cell_length_a 3.9911
_cell_length_b 3.9911
_cell_length_c 13.9027
_cell_angle_alpha 90.00
_cell_angle_beta 90.00
_cell_angle_gamma 120.00
_symmetry_space_group_name_H-M 'P 1'
_symmetry_Int_Tables_number 1
_symmetry_space_group_name_Hall 'P 1'
loop_
_atom_site_label
_atom_site_fract_x
_atom_site_fract_y
_atom_site_fract_z
Y1 0.0000 0.0000 0.0000
Y2 0.0000 0.0000 0.5000
Ho1 0.3333 0.6667 0.2500
Ho2 0.6667 0.3333 0.7500
Se1 0.3333 0.6667 0.6239
Se2 0.3333 0.6667 0.8761
Se3 0.6667 0.3333 0.1239
Se4 0.6667 0.3333 0.3761
```

Top 12 peaks for 2θ = 5–70°, in order of rising 2θ:
2θ/deg	I/Imax
12.73	11
25.78	8
28.85	68
32.31	100
36.67	10
41.69	47
45.45	57
47.23	18
52.67	12
54.73	11
56.86	20
63.37	14

# 5
Diffraction record for YHo2Se4. The powder diffractogram is simulated, not measured: it uses a crystal structure in Alexandria, relaxed with GGA-PBE and CuKα.
Neutral-atom scattering factors, no anomalous dispersion.

```
data_YHo2Se4
_chemical_formula_sum 'Y2 Ho4 Se8'
_cell_length_a 6.9834
_cell_length_b 6.9834
_cell_length_c 13.7627
_cell_angle_alpha 90.00
_cell_angle_beta 90.00
_cell_angle_gamma 147.07
_symmetry_space_group_name_H-M 'P 1'
_symmetry_Int_Tables_number 1
_symmetry_space_group_name_Hall 'P 1'
loop_
_atom_site_label
_atom_site_fract_x
_atom_site_fract_y
_atom_site_fract_z
Y1 0.1270 0.8730 0.7500
Y2 0.8730 0.1270 0.2500
Ho1 0.3699 0.6301 0.5697
Ho2 0.3699 0.6301 0.9303
Ho3 0.6301 0.3699 0.0697
Ho4 0.6301 0.3699 0.4303
Se1 0.0000 0.0000 0.0000
Se2 0.0000 0.0000 0.5000
Se3 0.2765 0.7235 0.1218
Se4 0.2765 0.7235 0.3782
Se5 0.4700 0.5300 0.7500
Se6 0.5300 0.4700 0.2500
Se7 0.7235 0.2765 0.6218
Se8 0.7235 0.2765 0.8782
```

Top 12 peaks for 2θ = 5–70°, in order of rising 2θ:
2θ/deg	I/Imax
23.49	100
29.18	37
30.17	27
30.88	57
32.92	83
35.23	22
40.48	46
42.83	26
45.17	39
45.41	26
45.85	31
66.32	25

# 6
Diffraction record for YbHo2Se4. The powder diffractogram is simulated, not measured: it uses a crystal structure in Alexandria, relaxed with GGA-PBE and CuKα.
Neutral-atom scattering factors, no anomalous dispersion.

```
data_YbHo2Se4
_chemical_formula_sum 'Yb4 Ho8 Se16'
_cell_length_a 13.4703
_cell_length_b 4.0340
_cell_length_c 13.7022
_cell_angle_alpha 90.00
_cell_angle_beta 90.00
_cell_angle_gamma 90.00
_symmetry_space_group_name_H-M 'P 1'
_symmetry_Int_Tables_number 1
_symmetry_space_group_name_Hall 'P 1'
loop_
_atom_site_label
_atom_site_fract_x
_atom_site_fract_y
_atom_site_fract_z
Yb1 0.1307 0.2500 0.0839
Yb2 0.3693 0.7500 0.5839
Yb3 0.6307 0.2500 0.4161
Yb4 0.8693 0.7500 0.9161
Ho1 0.1073 0.7500 0.4196
Ho2 0.1481 0.7500 0.8001
Ho3 0.3519 0.2500 0.3001
Ho4 0.3927 0.2500 0.9196
Ho5 0.6073 0.7500 0.0804
Ho6 0.6481 0.7500 0.6999
Ho7 0.8519 0.2500 0.1999
Ho8 0.8927 0.2500 0.5804
Se1 0.0288 0.2500 0.8854
Se2 0.0348 0.7500 0.6199
Se3 0.2148 0.7500 0.2372
Se4 0.2439 0.2500 0.4788
Se5 0.2561 0.7500 0.9788
Se6 0.2852 0.2500 0.7372
Se7 0.4652 0.2500 0.1199
Se8 0.4712 0.7500 0.3854
Se9 0.5288 0.2500 0.6146
Se10 0.5348 0.7500 0.8801
Se11 0.7148 0.7500 0.2628
Se12 0.7439 0.2500 0.0212
Se13 0.7561 0.7500 0.5212
Se14 0.7852 0.2500 0.7628
Se15 0.9652 0.2500 0.3801
Se16 0.9712 0.7500 0.1146
```

Top 12 peaks for 2θ = 5–70°, in order of rising 2θ:
2θ/deg	I/Imax
23.53	87
26.47	25
28.90	25
29.25	42
30.50	100
32.58	100
35.35	35
40.35	73
42.44	40
44.97	86
54.51	27
65.48	27

# 7
Diffraction record for Ho5Zn2Se2. The powder diffractogram is simulated, not measured: it uses a crystal structure in Alexandria, relaxed with GGA-PBE and CuKα.
Neutral-atom scattering factors, no anomalous dispersion.

```
data_Ho5Zn2Se2
_chemical_formula_sum 'Ho10 Zn4 Se4'
_cell_length_a 8.3886
_cell_length_b 8.3886
_cell_length_c 7.5357
_cell_angle_alpha 90.00
_cell_angle_beta 90.00
_cell_angle_gamma 54.15
_symmetry_space_group_name_H-M 'P 1'
_symmetry_Int_Tables_number 1
_symmetry_space_group_name_Hall 'P 1'
loop_
_atom_site_label
_atom_site_fract_x
_atom_site_fract_y
_atom_site_fract_z
Ho1 0.0000 0.0000 0.0000
Ho2 0.0303 0.6924 0.6606
Ho3 0.1924 0.5303 0.1606
Ho4 0.3076 0.9697 0.6606
Ho5 0.4697 0.8076 0.1606
Ho6 0.5000 0.5000 0.5000
Ho7 0.5303 0.1924 0.8394
Ho8 0.6924 0.0303 0.3394
Ho9 0.8076 0.4697 0.8394
Ho10 0.9697 0.3076 0.3394
Zn1 0.1265 0.8735 0.3785
Zn2 0.3735 0.6265 0.8785
Zn3 0.6265 0.3735 0.1215
Zn4 0.8735 0.1265 0.6215
Se1 0.1987 0.1987 0.0000
Se2 0.3013 0.3013 0.5000
Se3 0.6987 0.6987 0.5000
Se4 0.8013 0.8013 0.0000
```

Top 12 peaks for 2θ = 5–70°, in order of rising 2θ:
2θ/deg	I/Imax
26.17	41
27.06	27
32.01	100
33.41	33
33.57	41
33.79	33
34.36	27
35.68	74
36.08	29
37.79	56
38.20	49
54.54	28

# 8
Diffraction record for Ho5ZnSe4. The powder diffractogram is simulated, not measured: it uses a crystal structure in Alexandria, relaxed with GGA-PBE and CuKα.
Neutral-atom scattering factors, no anomalous dispersion.

```
data_Ho5ZnSe4
_chemical_formula_sum 'Ho5 Zn1 Se4'
_cell_length_a 7.0611
_cell_length_b 7.0611
_cell_length_c 7.0611
_cell_angle_alpha 99.56
_cell_angle_beta 99.56
_cell_angle_gamma 131.89
_symmetry_space_group_name_H-M 'P 1'
_symmetry_Int_Tables_number 1
_symmetry_space_group_name_Hall 'P 1'
loop_
_atom_site_label
_atom_site_fract_x
_atom_site_fract_y
_atom_site_fract_z
Ho1 0.0000 0.0000 0.0000
Ho2 0.2063 0.5984 0.8047
Ho3 0.4016 0.2063 0.6079
Ho4 0.5984 0.7937 0.3921
Ho5 0.7937 0.4016 0.1953
Zn1 0.5000 0.5000 0.0000
Se1 0.0965 0.3035 0.4000
Se2 0.3035 0.9035 0.2069
Se3 0.6965 0.0965 0.7931
Se4 0.9035 0.6965 0.6000
```

Top 7 peaks for 2θ = 5–70°, in order of rising 2θ:
2θ/deg	I/Imax
26.79	24
31.03	100
44.46	74
52.67	11
55.21	26
64.65	8
64.78	4